No. 1
# Pr4As3
Simulated powder X-ray diffraction pattern, Cu Kα X-rays. Input: a crystal structure in the Materials Project, relaxed with PBE.
Kinematic intensities with the Lorentz-polarization factor, no thermal factor.

Cell and atoms:
Lattice parameters (Å, degrees): 9.126 9.126 9.126 90.00 90.00 90.00
Space group I-43d (No. 220)
Symmetry-distinct sites (fractional):
Pr1 0.066 0.066 0.066 (multiplicity 16)
As1 0.000 0.250 0.375 (multiplicity 12)

Peak list (12 most intense, 5° ≤ 2θ ≤ 70°, sorted by position)
index	two_theta	Rel. int.
2 1 1	23.9	9
2 2 0	27.6	14
3 1 0	31.0	100
3 2 1	36.9	60
4 2 0	44.4	6
3 3 2	46.7	9
4 2 2	48.9	18
4 3 1	51.0	32
5 2 1	55.1	4
6 1 1	62.8	22
6 2 0	64.6	11
5 4 1	66.4	14

***

No. 2
# Li4P2O7
Simulated powder X-ray diffraction pattern, Cu Kα X-rays. Input: a crystal structure in the Materials Project, relaxed with PBE.
Kinematic intensities with the Lorentz-polarization factor, no thermal factor.

Cell and atoms:
Lattice parameters (Å, degrees): 5.260 14.118 9.560 90.00 123.31 90.00
Space group P2_1/c (No. 14)
Symmetry-distinct sites (fractional):
Li1 0.102 0.106 0.432 (multiplicity 4)
Li2 0.146 0.717 0.949 (multiplicity 4)
Li3 0.257 0.175 0.954 (multiplicity 4)
Li4 0.261 0.558 0.441 (multiplicity 4)
P1 0.436 0.051 0.263 (multiplicity 4)
P2 0.443 0.666 0.761 (multiplicity 4)
O1 0.141 0.069 0.254 (multiplicity 4)
O2 0.148 0.689 0.748 (multiplicity 4)
O3 0.279 0.220 0.596 (multiplicity 4)
O4 0.295 0.610 0.107 (multiplicity 4)
O5 0.389 0.053 0.089 (multiplicity 4)
O6 0.409 0.671 0.591 (multiplicity 4)
O7 0.452 0.058 0.666 (multiplicity 4)

Peak list (12 most intense, 5° ≤ 2θ ≤ 70°, sorted by position)
index	two_theta	Rel. int.
1 1 -1	18.0	10
1 0 0	20.2	100
0 0 2	22.3	26
0 4 1	27.6	83
1 1 -3	28.8	31
1 4 -1	30.5	11
2 0 -2	34.1	24
1 5 0	37.9	11
0 5 2	39.1	7
0 8 0	51.8	8
3 1 -5	57.8	8
0 4 5	64.0	8

***

No. 3
# UCo5Sn
Simulated powder X-ray diffraction pattern, Cu Kα X-rays. Input: a crystal structure in the Materials Project, relaxed with PBE.
Kinematic intensities with the Lorentz-polarization factor, no thermal factor.

Cell and atoms:
Lattice parameters (Å, degrees): 10.281 15.983 4.798 90.00 90.00 90.00
Space group Pnnm (No. 58)
Symmetry-distinct sites (fractional):
U1 0.000 0.000 0.000 (multiplicity 2)
U2 0.000 0.500 0.000 (multiplicity 2)
U3 0.111 0.244 0.500 (multiplicity 4)
Co1 0.036 0.082 0.500 (multiplicity 4)
Co2 0.043 0.598 0.500 (multiplicity 4)
Co3 0.075 0.171 0.000 (multiplicity 4)
Co4 0.133 0.840 0.247 (multiplicity 8)
Co5 0.154 0.347 0.000 (multiplicity 4)
Co6 0.189 0.965 0.500 (multiplicity 4)
Co7 0.200 0.719 0.500 (multiplicity 4)
Co8 0.243 0.091 0.249 (multiplicity 8)
Sn1 0.087 0.692 0.000 (multiplicity 4)
Sn2 0.197 0.445 0.500 (multiplicity 4)

Peak list (12 most intense, 5° ≤ 2θ ≤ 70°, sorted by position)
index	two_theta	Rel. int.
1 2 1	23.3	31
3 0 1	32.1	31
3 1 1	32.6	25
3 3 1	36.4	29
4 2 0	36.7	59
0 0 2	37.5	43
3 4 1	39.4	63
1 6 1	39.7	100
0 4 2	44.0	28
1 4 2	44.9	28
4 4 1	46.1	29
1 6 3	69.1	24

***

No. 4
# Pb10SO13F2
Simulated powder X-ray diffraction pattern, Cu Kα X-rays. Input: a crystal structure in the Materials Project, relaxed with PBE.
Kinematic intensities with the Lorentz-polarization factor, no thermal factor.

Cell and atoms:
Lattice parameters (Å, degrees): 9.705 10.584 11.176 109.88 90.69 107.41
Space group P-1 (No. 2)
Symmetry-distinct sites (fractional):
Pb1 0.036 0.054 0.316 (multiplicity 2)
Pb2 0.062 0.196 0.051 (multiplicity 2)
Pb3 0.089 0.330 0.673 (multiplicity 2)
Pb4 0.155 0.454 0.407 (multiplicity 2)
Pb5 0.221 0.604 0.026 (multiplicity 2)
Pb6 0.226 0.748 0.743 (multiplicity 2)
Pb7 0.316 0.847 0.339 (multiplicity 2)
Pb8 0.328 0.997 0.086 (multiplicity 2)
Pb9 0.395 0.228 0.813 (multiplicity 2)
Pb10 0.419 0.262 0.463 (multiplicity 2)
S1 0.472 0.425 0.206 (multiplicity 2)
O1 0.001 0.238 0.265 (multiplicity 2)
O2 0.076 0.508 0.617 (multiplicity 2)
O3 0.099 0.011 0.104 (multiplicity 2)
O4 0.137 0.672 0.225 (multiplicity 2)
O5 0.177 0.764 0.946 (multiplicity 2)
O6 0.186 0.258 0.476 (multiplicity 2)
O7 0.296 0.033 0.319 (multiplicity 2)
O8 0.359 0.317 0.242 (multiplicity 2)
O9 0.398 0.805 0.146 (multiplicity 2)
O10 0.400 0.501 0.691 (multiplicity 2)
O11 0.408 0.532 0.191 (multiplicity 2)
O12 0.471 0.144 0.602 (multiplicity 2)
O13 0.479 0.648 0.917 (multiplicity 2)
F1 0.151 0.836 0.481 (multiplicity 2)
F2 0.272 0.020 0.852 (multiplicity 2)

Peak list (12 most intense, 5° ≤ 2θ ≤ 70°, sorted by position)
index	two_theta	Rel. int.
1 1 -1	15.3	29
1 0 -3	26.2	70
1 -3 2	26.6	100
3 -1 0	27.6	97
1 2 1	28.0	79
2 2 -2	30.9	61
2 -1 3	31.0	53
-2 3 1	32.3	38
4 -4 2	45.3	23
4 1 1	46.1	24
0 1 5	48.0	18
1 5 -4	51.8	17

***

No. 5
# Ga3GePt8
Simulated powder X-ray diffraction pattern, Cu Kα X-rays. Input: a crystal structure in the Materials Project, relaxed with PBE.
Kinematic intensities with the Lorentz-polarization factor, no thermal factor.

Cell and atoms:
Lattice parameters (Å, degrees): 5.587 4.126 8.002 90.00 90.14 90.00
Space group Pm (No. 6)
Symmetry-distinct sites (fractional):
Ga1 0.000 0.000 0.000 (multiplicity 1)
Ga2 0.104 0.500 0.506 (multiplicity 1)
Ga3 0.609 0.500 0.794 (multiplicity 1)
Ge1 0.501 0.000 0.294 (multiplicity 1)
Pt1 0.151 0.500 0.826 (multiplicity 1)
Pt2 0.259 0.500 0.198 (multiplicity 1)
Pt3 0.352 0.000 0.601 (multiplicity 1)
Pt4 0.459 0.000 0.972 (multiplicity 1)
Pt5 0.649 0.500 0.469 (multiplicity 1)
Pt6 0.762 0.500 0.099 (multiplicity 1)
Pt7 0.851 0.000 0.693 (multiplicity 1)
Pt8 0.951 0.000 0.325 (multiplicity 1)

Peak list (12 most intense, 5° ≤ 2θ ≤ 70°, sorted by position)
index	two_theta	Rel. int.
1 1 1	29.1	16
1 1 -2	35.1	58
1 0 -3	37.4	27
2 1 0	38.9	85
2 0 2	39.3	27
0 1 3	40.3	100
2 1 1	40.6	66
0 2 0	43.9	58
2 0 -3	47.0	18
2 0 3	47.2	18
2 2 2	60.4	16
2 2 3	66.3	26

***

Repeat the second record exactly.
# Li4P2O7
Simulated powder X-ray diffraction pattern, Cu Kα X-rays. Input: a crystal structure in the Materials Project, relaxed with PBE.
Kinematic intensities with the Lorentz-polarization factor, no thermal factor.

Cell and atoms:
Lattice parameters (Å, degrees): 5.260 14.118 9.560 90.00 123.31 90.00
Space group P2_1/c (No. 14)
Symmetry-distinct sites (fractional):
Li1 0.102 0.106 0.432 (multiplicity 4)
Li2 0.146 0.717 0.949 (multiplicity 4)
Li3 0.257 0.175 0.954 (multiplicity 4)
Li4 0.261 0.558 0.441 (multiplicity 4)
P1 0.436 0.051 0.263 (multiplicity 4)
P2 0.443 0.666 0.761 (multiplicity 4)
O1 0.141 0.069 0.254 (multiplicity 4)
O2 0.148 0.689 0.748 (multiplicity 4)
O3 0.279 0.220 0.596 (multiplicity 4)
O4 0.295 0.610 0.107 (multiplicity 4)
O5 0.389 0.053 0.089 (multiplicity 4)
O6 0.409 0.671 0.591 (multiplicity 4)
O7 0.452 0.058 0.666 (multiplicity 4)

Peak list (12 most intense, 5° ≤ 2θ ≤ 70°, sorted by position)
index	two_theta	Rel. int.
1 1 -1	18.0	10
1 0 0	20.2	100
0 0 2	22.3	26
0 4 1	27.6	83
1 1 -3	28.8	31
1 4 -1	30.5	11
2 0 -2	34.1	24
1 5 0	37.9	11
0 5 2	39.1	7
0 8 0	51.8	8
3 1 -5	57.8	8
0 4 5	64.0	8